Diffraction record for Ca2Ni10H. The powder X-ray diffraction pattern is computed, not measured: it uses a PBE-relaxed structure and Cu Kα.
Lines closer than 0.1° are merged.

Cell and atoms:
```
Ca2Ni10H
1.0
4.9918 0.0000 0.0000
-2.4959 4.3231 0.0000
0.0000 0.0000 7.9318
Ca Ni H
2 10 1
direct
0.0000 0.0000 0.0000 Ca
0.0000 0.0000 0.4989 Ca
0.0018 0.5009 0.2523 Ni
0.0156 0.5078 0.7455 Ni
0.3333 0.6667 0.0031 Ni
0.3333 0.6667 0.4972 Ni
0.4922 0.5078 0.7455 Ni
0.4922 0.9844 0.7455 Ni
0.4991 0.5009 0.2523 Ni
0.4991 0.9982 0.2523 Ni
0.6667 0.3333 0.0128 Ni
0.6667 0.3333 0.4987 Ni
0.6667 0.3333 0.8122 H
```

Main lines, by angle (2θ = 5–70°):
index	2θ (°)	intensity
1 0 0	20.5	49
1 0 2	30.6	9
1 1 0	36.0	18
2 0 0	41.8	28
1 1 2	42.8	100
0 0 4	45.8	33
2 0 2	47.9	61
0 1 4	50.6	8
0 2 4	63.7	15
0 3 2	69.4	22